Record 1
Mg3Sc2Ag2Au: theoretical powder XRD pattern (λ = 1.5418 Å (Cu Kα)), based on the GGA-PBE geometry in OQMD.
Intensities are scaled so that the largest is 100.

Atomic structure:
```
Mg3Sc2Ag2Au
1.0
4.775 0.000 0.000
0.000 4.775 0.000
0.000 0.000 6.869
Mg Sc Ag Au
3 2 2 1
Cartesian
0.000 0.000 0.000 Mg
0.000 2.388 5.100 Mg
2.388 0.000 1.769 Mg
0.000 2.388 1.834 Sc
2.388 0.000 5.035 Sc
0.000 0.000 3.434 Ag
2.388 2.388 0.000 Ag
2.388 2.388 3.434 Au
```

Largest 10 diffraction maxima, by angle, 15 to 90 degrees two-theta:
d_spacing  intensity
4.775  23.5
3.434  17.8
3.377  33.6
3.030  13.8
2.408  100.0
2.388  49.2
1.960  15.4
1.688  16.4
1.394  16.5
1.382  32.8

***

Record 2
AgMoPdAu: theoretical powder XRD pattern (λ = 1.5418 Å (Cu Kα)), based on the GGA-PBE geometry in OQMD.
Intensities are scaled so that the largest is 100.

Atomic structure:
```
AgMoPdAu
1.0
0.000 3.216 3.216
3.216 0.000 3.216
3.216 3.216 0.000
Ag Mo Pd Au
1 1 1 1
Cartesian
0.000 0.000 0.000 Ag
3.216 3.216 3.216 Mo
1.608 1.608 1.608 Pd
4.824 4.824 4.824 Au
```

Largest 10 diffraction maxima, by angle, 15 to 90 degrees two-theta:
d_spacing  intensity
3.713  7.1
3.216  4.3
2.274  100.0
1.939  4.0
1.608  16.7
1.476  1.7
1.438  1.9
1.313  33.8
1.238  1.4
1.137  11.0

***

Record 3
Na4AgPb2Au: theoretical powder XRD pattern (λ = 1.5418 Å (Cu Kα)), based on the GGA-PBE geometry in OQMD.
Intensities are scaled so that the largest is 100.

Atomic structure:
```
Na4AgPb2Au
1.0
5.085 0.000 0.000
0.000 5.085 0.000
0.000 0.000 7.153
Na Ag Pb Au
4 1 2 1
Cartesian
0.000 0.000 0.000 Na
0.000 2.542 1.746 Na
2.542 0.000 5.407 Na
2.542 2.542 3.577 Na
0.000 0.000 3.577 Ag
0.000 2.542 5.361 Pb
2.542 0.000 1.792 Pb
2.542 2.542 0.000 Au
```

Largest 10 diffraction maxima, by angle, 15 to 90 degrees two-theta:
d_spacing  intensity
4.144  67.7
2.538  100.0
2.167  25.4
2.159  12.6
1.798  11.9
1.646  11.0
1.467  24.3
1.463  12.0
1.268  7.5
1.137  10.9

***

Record 4
NbAg2Au2: theoretical powder XRD pattern (λ = 1.5418 Å (Cu Kα)), based on the GGA-PBE geometry in OQMD.
Intensities are scaled so that the largest is 100.

Atomic structure:
```
NbAg2Au2
1.0
-2.597 2.597 7.086
2.597 -2.597 7.086
2.597 2.597 -7.086
Nb Ag Au
2 4 4
Cartesian
2.597 1.299 1.771 Nb
0.000 1.299 5.314 Nb
0.000 0.000 0.000 Ag
1.299 1.299 -3.543 Ag
1.299 -1.299 3.543 Ag
0.000 2.597 0.000 Ag
2.597 1.299 -0.910 Au
0.000 1.299 2.633 Au
2.597 1.299 4.452 Au
0.000 1.299 7.995 Au
```

Largest 10 diffraction maxima, by angle, 15 to 90 degrees two-theta:
d_spacing  intensity
3.261  36.8
2.597  69.1
2.488  100.0
2.439  24.2
2.293  64.7
2.085  54.9
1.987  33.5
1.797  19.0
1.478  19.6
1.349  19.1

***

Record 5
Nd2AgSn2Au: theoretical powder XRD pattern (λ = 1.5418 Å (Cu Kα)), based on the GGA-PBE geometry in OQMD.
Intensities are scaled so that the largest is 100.

Atomic structure:
```
Nd2AgSn2Au
1.0
4.799 0.000 0.000
-2.399 4.156 0.000
0.000 0.000 7.687
Nd Ag Sn Au
2 1 2 1
Cartesian
0.000 0.000 0.000 Nd
0.000 0.000 3.823 Nd
2.399 1.385 6.181 Ag
0.000 2.771 5.557 Sn
2.399 1.385 1.690 Sn
0.000 2.771 2.400 Au
```

Largest 10 diffraction maxima, by angle, 15 to 90 degrees two-theta:
d_spacing  intensity
3.656  15.3
2.822  100.0
2.399  82.2
2.181  22.5
1.828  28.3
1.500  14.3
1.454  26.9
1.442  10.7
1.385  14.7
1.104  11.7

***

Record 6
AgAu2O4: theoretical powder XRD pattern (λ = 1.5418 Å (Cu Kα)), based on the GGA-PBE geometry in OQMD.
Intensities are scaled so that the largest is 100.

Atomic structure:
```
AgAu2O4
1.0
-3.193 3.193 4.810
3.193 -3.193 4.810
3.193 3.193 -4.810
Ag Au O
2 4 8
Cartesian
3.193 1.596 1.203 Ag
0.000 1.596 3.608 Ag
0.000 0.000 0.000 Au
1.596 1.596 -2.405 Au
1.596 -1.596 2.405 Au
0.000 3.193 0.000 Au
3.193 -0.364 2.028 O
3.193 2.829 -2.028 O
1.232 1.596 0.377 O
1.960 -1.596 5.188 O
1.232 4.789 -0.377 O
1.960 1.596 4.433 O
0.000 0.364 6.838 O
0.000 3.557 2.782 O
```

Largest 10 diffraction maxima, by angle, 15 to 90 degrees two-theta:
d_spacing  intensity
5.320  52.6
2.866  80.4
2.738  100.0
2.660  80.9
2.258  24.0
1.742  34.1
1.646  45.8
1.596  24.3
1.433  16.1
1.369  25.7

***

Record 7
AgAuO2: theoretical powder XRD pattern (λ = 1.5418 Å (Cu Kα)), based on the GGA-PBE geometry in OQMD.
Intensities are scaled so that the largest is 100.

Atomic structure:
```
AgAuO2
1.0
5.590 0.000 0.000
0.000 3.964 0.000
-1.310 0.000 5.343
Ag Au O
2 2 4
Cartesian
0.000 0.000 0.000 Ag
-0.655 1.982 2.671 Ag
2.140 0.000 2.671 Au
2.795 1.982 0.000 Au
0.709 0.799 3.884 O
1.364 1.183 1.213 O
2.916 2.781 4.130 O
3.571 3.165 1.458 O
```

Largest 10 diffraction maxima, by angle, 15 to 90 degrees two-theta:
d_spacing  intensity
5.429  20.6
2.934  100.0
2.715  35.7
2.671  33.2
2.591  80.9
2.181  26.3
1.679  20.9
1.658  20.3
1.601  19.5
1.592  21.4

***

Record 8
Ag2Pd4Au3: theoretical powder XRD pattern (λ = 1.5418 Å (Cu Kα)), based on the GGA-PBE geometry in OQMD.
Intensities are scaled so that the largest is 100.

Atomic structure:
```
Ag2Pd4Au3
1.0
6.102 -2.021 0.000
6.102 2.021 0.000
-2.051 0.000 6.067
Ag Pd Au
2 4 3
Cartesian
2.028 0.000 0.005 Ag
8.126 0.000 6.062 Ag
0.008 0.000 2.034 Pd
2.034 0.000 4.020 Pd
8.119 0.000 2.047 Pd
10.145 0.000 4.032 Pd
4.040 0.000 2.051 Au
6.102 0.000 0.000 Au
6.114 0.000 4.016 Au
```

Largest 10 diffraction maxima, by angle, 15 to 90 degrees two-theta:
d_spacing  intensity
2.339  100.0
2.034  16.5
2.022  32.4
1.433  15.8
1.430  10.4
1.226  6.5
1.224  6.3
1.220  12.4
1.219  12.5
1.168  5.5

***

Record 9
Ag2Pd3Au3: theoretical powder XRD pattern (λ = 1.5418 Å (Cu Kα)), based on the GGA-PBE geometry in OQMD.
Intensities are scaled so that the largest is 100.

Atomic structure:
```
Ag2Pd3Au3
1.0
-1.995 2.058 8.183
1.995 -2.058 8.183
1.995 2.058 -8.183
Ag Pd Au
2 3 3
Cartesian
0.000 0.000 4.100 Ag
0.000 0.000 12.267 Ag
0.000 0.000 0.000 Pd
1.995 0.000 6.154 Pd
0.000 2.058 2.030 Pd
1.995 0.000 2.032 Au
0.000 0.000 8.183 Au
0.000 2.058 6.151 Au
```

Largest 10 diffraction maxima, by angle, 15 to 90 degrees two-theta:
d_spacing  intensity
2.347  100.0
2.058  16.9
2.046  16.6
1.995  15.6
1.451  10.9
1.432  10.4
1.237  12.9
1.231  12.7
1.209  12.1
1.173  11.1

***

Record 10
AgPd2Au: theoretical powder XRD pattern (λ = 1.5418 Å (Cu Kα)), based on the GGA-PBE geometry in OQMD.
Intensities are scaled so that the largest is 100.

Atomic structure:
```
AgPd2Au
1.0
0.000 3.210 3.210
3.210 0.000 3.210
3.210 3.210 0.000
Ag Pd Au
1 2 1
Cartesian
0.000 0.000 0.000 Ag
1.605 1.605 1.605 Pd
3.210 3.210 3.210 Pd
4.815 4.815 4.815 Au
```

Largest 10 diffraction maxima, by angle, 15 to 90 degrees two-theta:
d_spacing  intensity
3.706  6.7
3.210  3.3
2.270  100.0
1.936  3.8
1.605  16.8
1.473  1.6
1.435  1.5
1.310  33.8
1.235  1.3
1.135  11.0

***

Record 11
Pr2Si2AgAu: theoretical powder XRD pattern (λ = 1.5418 Å (Cu Kα)), based on the GGA-PBE geometry in OQMD.
Intensities are scaled so that the largest is 100.

Atomic structure:
```
Pr2Si2AgAu
1.0
4.400 0.000 0.000
-2.200 3.811 0.000
0.000 0.000 8.195
Pr Si Ag Au
2 2 1 1
Cartesian
0.000 0.000 2.042 Pr
0.000 0.000 6.153 Pr
0.000 2.540 4.097 Si
2.200 1.270 0.000 Si
2.200 1.270 4.097 Ag
0.000 2.540 0.000 Au
```

Largest 10 diffraction maxima, by angle, 15 to 90 degrees two-theta:
d_spacing  intensity
3.455  37.9
2.790  100.0
2.220  11.9
2.200  48.2
2.049  13.0
1.728  24.1
1.499  28.3
1.359  21.7
1.286  9.0
1.270  8.2

***

Record 12
Ag2Pt3Au: theoretical powder XRD pattern (λ = 1.5418 Å (Cu Kα)), based on the GGA-PBE geometry in OQMD.
Intensities are scaled so that the largest is 100.

Atomic structure:
```
Ag2Pt3Au
1.0
2.823 0.000 0.000
-1.411 2.445 0.000
0.000 0.000 14.262
Ag Pt Au
2 3 1
Cartesian
0.000 1.630 2.364 Ag
1.411 0.815 11.898 Ag
0.000 0.000 0.000 Pt
0.000 1.630 9.534 Pt
1.411 0.815 4.728 Pt
0.000 0.000 7.131 Au
```

Largest 10 diffraction maxima, by angle, 15 to 90 degrees two-theta:
d_spacing  intensity
4.754  4.6
2.377  35.7
2.313  100.0
2.016  66.4
1.440  22.5
1.411  20.8
1.232  13.4
1.214  25.6
1.205  12.7
1.156  11.2

***

Record 13
Sc2AgAu: theoretical powder XRD pattern (λ = 1.5418 Å (Cu Kα)), based on the GGA-PBE geometry in OQMD.
Intensities are scaled so that the largest is 100.

Atomic structure:
```
Sc2AgAu
1.0
0.000 3.405 3.405
3.405 0.000 3.405
3.405 3.405 0.000
Sc Ag Au
2 1 1
Cartesian
1.702 1.702 1.702 Sc
5.107 5.107 5.107 Sc
0.000 0.000 0.000 Ag
3.405 3.405 3.405 Au
```

Largest 10 diffraction maxima, by angle, 15 to 90 degrees two-theta:
d_spacing  intensity
3.931  10.2
3.405  37.7
2.408  100.0
2.053  6.1
1.966  11.5
1.702  16.9
1.523  15.5
1.390  33.8
1.204  10.6
1.135  8.0

***

Record 14
ScAg3Au: theoretical powder XRD pattern (λ = 1.5418 Å (Cu Kα)), based on the GGA-PBE geometry in OQMD.
Intensities are scaled so that the largest is 100.

Atomic structure:
```
ScAg3Au
1.0
4.663 -2.048 0.000
4.663 2.048 0.000
-4.629 0.000 4.705
Sc Ag Au
1 3 1
Cartesian
0.000 0.000 0.000 Sc
-0.894 0.000 2.781 Ag
1.893 0.000 3.704 Ag
5.630 0.000 1.855 Ag
2.832 0.000 0.859 Au
```

Largest 10 diffraction maxima, by angle, 15 to 90 degrees two-theta:
d_spacing  intensity
4.662  7.8
3.485  11.8
2.400  100.0
2.107  16.9
2.083  16.3
2.048  15.5
1.468  10.2
1.460  10.0
1.265  6.6
1.240  6.3